Diffraction record for TmB2Os. The XRD peak list is theoretical, not measured: it uses DFT lattice parameters and positions (GGA-PBE) and Cu Kα (λ = 1.5418 Å).

Top 10 peaks for 2θ from 10° to 80°, low angle first:
| 2theta | Rel. int. | hkl |
| --- | --- | --- |
| 28.2 | 32 | 0 0 2 |
| 32.2 | 21 | 1 0 2 |
| 34.0 | 66 | 0 2 0 |
| 35.1 | 27 | 2 1 0 |
| 36.5 | 81 | 1 1 2 |
| 38.0 | 100 | 2 1 1 |
| 44.7 | 23 | 0 2 2 |
| 63.4 | 41 | 2 3 1 |
| 65.2 | 19 | 3 0 3 |
| 75.6 | 26 | 3 2 3 |

Cell and atoms:
```
data_TmB2Os
_space_group_name_H-M_alt 'P n m a'
_space_group_IT_number 62
_cell_length_a 5.842
_cell_length_b 5.280
_cell_length_c 6.328
_cell_angle_alpha 90.00
_cell_angle_beta 90.00
_cell_angle_gamma 90.00
loop_
_space_group_symop_operation_xyz
'x,y,z'
'-x,-y,-z'
'-x+1/2,-y,z+1/2'
'x+1/2,y,-z+1/2'
'x+1/2,-y+1/2,-z+1/2'
'-x+1/2,y+1/2,z+1/2'
'-x,y+1/2,-z'
'x,-y+1/2,z'
loop_
_atom_site_label
_atom_site_fract_x
_atom_site_fract_y
_atom_site_fract_z
_atom_site_occupancy
Tm1 0.011 0.250 0.166 1
B1 0.139 0.581 0.462 1
Os1 0.177 0.250 0.682 1
```